This entry pairs a crystal structure of Li4Zn2NiSn with its simulated X-ray powder pattern. Radiation: Cu Ka. Structure: the PBE geometry in OQMD.

The 6 most intense peaks (10 to 90 degrees two-theta), by angle:
- hkl 1 0 1, 25.09°, I 100
- hkl 1 1 2, 41.39°, I 62
- hkl 2 0 0, 41.88°, I 33
- hkl 1 0 3, 48.58°, I 15
- hkl 2 1 1, 49.44°, I 31
- hkl 3 1 2, 76.15°, I 20

Structure:
```
data_Li4Zn2NiSn
_space_group_name_H-M_alt 'P -4 m 2'
_space_group_IT_number 115
_cell_length_a 4.315
_cell_length_b 4.315
_cell_length_c 6.241
_cell_angle_alpha 90.00
_cell_angle_beta 90.00
_cell_angle_gamma 90.00
loop_
_space_group_symop_operation_xyz
'x,y,z'
'y,-x,-z'
'-x,-y,z'
'-y,x,-z'
'-x,y,z'
'-y,-x,-z'
'x,-y,z'
'y,x,-z'
loop_
_atom_site_label
_atom_site_type_symbol
_atom_site_fract_x
_atom_site_fract_y
_atom_site_fract_z
_atom_site_occupancy
Li1 Li 0.000 0.000 0.000 1
Li2 Li 0.000 0.500 0.223 1
Li3 Li 0.500 0.500 0.500 1
Zn1 Zn 0.000 0.500 0.785 1
Ni1 Ni 0.500 0.500 0.000 1
Sn1 Sn 0.000 0.000 0.500 1
```